Diffraction record for H12AuC4N. The X-ray diffraction stick pattern is theoretical, not measured: it uses a structure optimized by DFT (PBE) and Cu Kα (weighted mean of Kα1 and Kα2).

Atomic structure:
a b c (Å): 7.541 7.541 5.403
angles (deg): 90.00 90.00 90.00
Fractional coordinates of all 36 atoms:
H 0.029 0.250 0.039
H 0.091 0.630 0.724
H 0.091 0.870 0.724
H 0.130 0.591 0.276
H 0.130 0.909 0.276
H 0.250 0.029 0.039
H 0.250 0.471 0.039
H 0.370 0.591 0.276
H 0.370 0.909 0.276
H 0.409 0.630 0.724
H 0.409 0.870 0.724
H 0.471 0.250 0.039
H 0.529 0.750 0.961
H 0.591 0.130 0.276
H 0.591 0.370 0.276
H 0.630 0.091 0.724
H 0.630 0.409 0.724
H 0.750 0.529 0.961
H 0.750 0.971 0.961
H 0.870 0.091 0.724
H 0.870 0.409 0.724
H 0.909 0.130 0.276
H 0.909 0.370 0.276
H 0.971 0.750 0.961
Au 0.250 0.250 0.647
Au 0.750 0.750 0.353
C 0.088 0.750 0.839
C 0.250 0.588 0.161
C 0.250 0.912 0.161
C 0.412 0.750 0.839
C 0.588 0.250 0.161
C 0.750 0.088 0.839
C 0.750 0.412 0.839
C 0.912 0.250 0.161
N 0.250 0.750 0.000
N 0.750 0.250 0.000

Principal peaks in the range 10 to 80 degrees two-theta, in order of rising 2θ:
- 2θ 16.62, d 5.333, I = 75, (1 1 0)
- 2θ 20.22, d 4.392, I = 94, (1 0 1)
- 2θ 23.44, d 3.795, I = 68, (1 1 1)
- 2θ 23.59, d 3.771, I = 79, (2 0 0)
- 2θ 31.26, d 2.861, I = 100, (2 1 1)
- 2θ 35.29, d 2.543, I = 46, (1 0 2)
- 2θ 37.72, d 2.385, I = 38, (3 1 0)
- 2θ 41.38, d 2.182, I = 24, (3 1 1)
- 2θ 42.89, d 2.108, I = 40, (2 1 2)
- 2θ 55.57, d 1.654, I = 24, (3 2 2)